1.
Theoretical X-ray powder pattern of Nb11In3 for copper Kα, from DFT lattice parameters and positions (PBE).
Neutral-atom scattering factors, no anomalous dispersion.

Largest 10 diffraction maxima, sorted by position, 2θ from 10° to 90°:
index  2theta  d/Å  intensity
1 1 4  34.31  2.613  17
1 2 3  34.60  2.593  15
2 0 0  36.21  2.481  62
0 3 3  38.09  2.362  38
1 0 5  38.59  2.333  72
1 3 2  39.40  2.287  100
2 3 3  53.56  1.711  27
3 0 5  66.71  1.402  14
3 3 2  67.26  1.392  20
1 3 8  68.63  1.368  18

Structural model:
Cell: 4.962 8.397 13.216 Å, 90.00 90.00 90.00°
Space group Immm (No. 71)
Symmetry-distinct sites (fractional):
Nb 0.000 0.000 0.000
Nb 0.000 0.166 0.289
Nb 0.000 0.313 0.106
Nb 0.000 0.500 0.310
In 0.000 0.000 0.500
In 0.000 0.323 0.500



2.
Theoretical X-ray powder pattern of Nb3In for copper Kα, from DFT lattice parameters and positions (PBE).
Neutral-atom scattering factors, no anomalous dispersion.

Largest 10 diffraction maxima, sorted by position, 2θ from 10° to 90°:
index  2theta  d/Å  intensity
0 0 3  28.56  3.125  1
0 2 0  37.57  2.394  100
0 0 4  38.41  2.344  18
2 0 0  53.54  1.712  7
0 2 4  54.81  1.675  13
2 2 0  67.24  1.392  7
1 3 2  67.80  1.382  20
1 1 6  68.91  1.363  12
0 4 0  80.18  1.197  10
0 0 8  82.28  1.172  2

Structural model:
Cell: 3.423 4.788 9.375 Å, 90.00 90.00 90.00°
Space group Cmmm (No. 65)
Symmetry-distinct sites (fractional):
Nb 0.000 0.000 0.000
Nb 0.000 0.500 0.239
In 0.000 0.000 0.500



3.
Theoretical X-ray powder pattern of Nd2NbInO7 for copper Kα, from DFT lattice parameters and positions (PBE).
Neutral-atom scattering factors, no anomalous dispersion.

Largest 10 diffraction maxima, sorted by position, 2θ from 10° to 90°:
index  2theta  d/Å  intensity
0 2 2  28.51  3.130  100
2 0 2  29.08  3.070  100
0 0 4  33.31  2.690  22
2 2 0  33.41  2.682  43
0 4 0  47.23  1.924  18
2 2 4  47.90  1.899  63
4 0 0  48.70  1.870  15
2 4 2  56.43  1.631  30
2 0 6  56.95  1.617  15
4 2 2  57.41  1.605  28

Structural model:
Cell: 7.478 7.698 10.760 Å, 90.00 90.00 90.00°
Space group Imma (No. 74)
Symmetry-distinct sites (fractional):
Nd 0.000 0.000 0.000
Nd 0.250 0.250 0.250
Nb 0.000 0.000 0.500
In 0.250 0.250 0.750
O 0.000 0.250 0.127
O 0.000 0.250 0.439
O 0.000 0.250 0.850
O 0.199 0.027 0.624



4.
Theoretical X-ray powder pattern of Nb2In2Ni15 for copper Kα, from DFT lattice parameters and positions (PBE).
Neutral-atom scattering factors, no anomalous dispersion.

Largest 10 diffraction maxima, sorted by position, 2θ from 10° to 90°:
index  2theta  d/Å  intensity
1 0 4  31.33  2.855  12
3 0 0  37.62  2.391  27
0 2 4  38.29  2.351  20
0 0 6  43.69  2.072  100
2 1 4  44.30  2.045  20
2 2 3  49.16  1.853  35
2 2 6  63.48  1.465  7
3 3 3  72.10  1.310  8
0 3 9  80.16  1.197  10
6 0 0  80.30  1.196  13

Structural model:
Cell: 8.2835 8.2835 12.4483 Å, 90.00 90.00 120.00°
Space group R-3m (No. 166, hexagonal axes)
Symmetry-distinct sites (fractional):
Nb 0.0000 0.0000 0.1046
In 0.0000 0.0000 0.3543
Ni 0.0000 0.3082 0.0000
Ni 0.0000 0.5000 0.5000
Ni 0.0049 0.5025 0.1568



5.
Theoretical X-ray powder pattern of NbInNi4 for copper Kα, from DFT lattice parameters and positions (PBE).
Neutral-atom scattering factors, no anomalous dispersion.

Largest 10 diffraction maxima, sorted by position, 2θ from 10° to 90°:
index  2theta  d/Å  intensity
1 1 1  30.23  2.956  12
1 3 1  33.48  2.676  23
1 7 0  43.16  2.096  100
0 6 2  46.67  1.946  29
2 0 0  49.46  1.843  19
0 8 2  54.46  1.685  9
2 6 2  70.35  1.338  16
1 13 2  84.20  1.150  11
3 7 0  88.31  1.107  12
1 7 4  89.27  1.097  11

Structural model:
Cell: 3.686 17.823 5.152 Å, 90.00 90.00 90.00°
Space group Cmcm (No. 63)
Symmetry-distinct sites (fractional):
Nb 0.000 0.078 0.250
In 0.000 0.230 0.750
Ni 0.000 0.069 0.750
Ni 0.000 0.359 0.009
Ni 0.000 0.500 0.000



6.
Theoretical X-ray powder pattern of NbInPtO6 for copper Kα, from DFT lattice parameters and positions (PBE).
Neutral-atom scattering factors, no anomalous dispersion.

Largest 10 diffraction maxima, sorted by position, 2θ from 10° to 90°:
index  2theta  d/Å  intensity
1 0 1  20.67  4.296  15
1 1 0  26.27  3.392  100
1 0 3  33.54  2.672  83
2 0 0  37.49  2.399  24
2 1 3  51.17  1.785  66
2 2 0  54.06  1.696  16
3 1 0  61.08  1.517  16
1 1 6  64.06  1.454  16
3 0 3  65.14  1.432  19
3 2 3  77.65  1.230  14

Structural model:
Cell: 4.798 4.798 9.653 Å, 90.00 90.00 90.00°
Space group P4_2nm (No. 102)
Symmetry-distinct sites (fractional):
Nb 0.000 0.000 0.000
In 0.000 0.000 0.328
Pt 0.000 0.000 0.661
O 0.181 0.181 0.830
O 0.198 0.198 0.503
O 0.204 0.204 0.148